(1)
The following is a calculated powder XRD pattern of ErCu3Pd7. It was derived from the PBE geometry in Alexandria, using Cu Kα X-rays.

Most intense lines, 10 to 90 degrees two-theta, in order of rising 2θ:
- (2 0 -1), 2θ 23.31, I 16
- (2 2 0), 2θ 30.09, I 30
- (1 3 -1), 2θ 34.23, I 15
- (2 0 -2), 2θ 36.09, I 100
- (0 4 0), 2θ 38.99, I 66
- (2 2 1), 2θ 40.53, I 78
- (0 2 2), 2θ 43.20, I 43
- (4 2 -1), 2θ 47.42, I 45
- (3 3 -2), 2θ 50.56, I 18
- (2 4 -2), 2θ 54.17, I 32

Crystal structure
```
data_ErCu3Pd7
_cell_length_a 8.431
_cell_length_b 9.241
_cell_length_c 5.110
_cell_angle_alpha 90.00
_cell_angle_beta 113.15
_cell_angle_gamma 90.00
_symmetry_space_group_name_H-M 'C 1 2/m 1'
_symmetry_Int_Tables_number 12
loop_
_symmetry_equiv_pos_as_xyz
'x,y,z'
'-x,-y,-z'
'-x,y,-z'
'x,-y,z'
'x+1/2,y+1/2,z'
'-x+1/2,-y+1/2,-z'
'-x+1/2,y+1/2,-z'
'x+1/2,-y+1/2,z'
loop_
_atom_site_label
_atom_site_type_symbol
_atom_site_fract_x
_atom_site_fract_y
_atom_site_fract_z
Er1 Er 0.000 0.000 0.000
Cu1 Cu 0.000 0.272 0.500
Cu2 Cu 0.000 0.500 0.000
Pd1 Pd 0.000 0.000 0.500
Pd2 Pd 0.179 0.500 0.559
Pd3 Pd 0.182 0.275 0.192
```

(2)
The following is a calculated powder XRD pattern of KBa2Na3. It was derived from the PBE geometry in Alexandria, using Cu Kα X-rays.

Most intense lines, 10 to 90 degrees two-theta, in order of rising 2θ:
- (0 0 3), 2θ 16.82, I 27
- (1 0 0), 2θ 19.97, I 36
- (1 0 3), 2θ 26.23, I 100
- (1 1 0), 2θ 28.39, I 41
- (1 1 3), 2θ 33.19, I 20
- (0 0 6), 2θ 34.03, I 12
- (2 0 0), 2θ 40.59, I 15
- (1 1 6), 2θ 44.89, I 22
- (2 1 3), 2θ 48.97, I 35
- (2 0 6), 2θ 53.97, I 13

Crystal structure
```
data_KBa2Na3
_cell_length_a 4.446
_cell_length_b 4.446
_cell_length_c 15.809
_cell_angle_alpha 90.00
_cell_angle_beta 90.00
_cell_angle_gamma 90.00
_symmetry_space_group_name_H-M 'P 4/m m m'
_symmetry_Int_Tables_number 123
_symmetry_space_group_name_Hall '-P 4 2'
loop_
_atom_site_label
_atom_site_type_symbol
_atom_site_fract_x
_atom_site_fract_y
_atom_site_fract_z
K1 K 0.000 0.000 0.000
Ba1 Ba 0.000 0.000 0.337
Na1 Na 0.500 0.500 0.170
Na2 Na 0.500 0.500 0.500
```

(3)
The following is a calculated powder XRD pattern of CdGe2P3. It was derived from the PBE geometry in Alexandria, using Cu Kα X-rays.

Most intense lines, 10 to 90 degrees two-theta, in order of rising 2θ:
- (2 0 0), 2θ 26.56, I 47
- (0 0 2), 2θ 26.67, I 47
- (1 3 -1), 2θ 28.69, I 100
- (1 3 1), 2θ 30.24, I 31
- (2 0 2), 2θ 40.41, I 29
- (3 3 -1), 2θ 47.20, I 33
- (1 3 -3), 2θ 47.33, I 32
- (3 3 1), 2θ 50.24, I 20
- (1 3 3), 2θ 50.37, I 19
- (2 6 0), 2θ 53.96, I 24

Crystal structure
```
data_CdGe2P3
_cell_length_a 6.765
_cell_length_b 11.833
_cell_length_c 6.738
_cell_angle_alpha 90.00
_cell_angle_beta 97.21
_cell_angle_gamma 90.00
_symmetry_space_group_name_H-M 'C 1 c 1'
_symmetry_Int_Tables_number 9
loop_
_symmetry_equiv_pos_as_xyz
'x,y,z'
'x,-y,z+1/2'
'x+1/2,y+1/2,z'
'x+1/2,-y+1/2,z+1/2'
loop_
_atom_site_label
_atom_site_type_symbol
_atom_site_fract_x
_atom_site_fract_y
_atom_site_fract_z
Cd1 Cd 0.000 0.088 0.000
Ge1 Ge 0.015 0.414 0.012
Ge2 Ge 0.016 0.258 0.488
P1 P 0.351 0.236 0.653
P2 P 0.360 0.400 0.117
P3 P 0.389 0.081 0.155
```

(4)
The following is a calculated powder XRD pattern of Er2Al3Ir. It was derived from the PBE geometry in Alexandria, using Cu Kα X-rays.

Most intense lines, 10 to 90 degrees two-theta, in order of rising 2θ:
- (0 0 3), 2θ 20.22, I 50
- (0 1 2), 2θ 23.20, I 22
- (1 1 0), 2θ 32.90, I 92
- (1 1 3), 2θ 38.92, I 100
- (0 1 5), 2θ 39.16, I 45
- (3 0 0), 2θ 58.74, I 18
- (0 1 8), 2θ 59.45, I 17
- (3 0 3), 2θ 62.78, I 25
- (1 2 5), 2θ 62.95, I 23
- (2 2 0), 2θ 68.98, I 16

Crystal structure
```
data_Er2Al3Ir
_cell_length_a 5.4455
_cell_length_b 5.4455
_cell_length_c 13.1756
_cell_angle_alpha 90.00
_cell_angle_beta 90.00
_cell_angle_gamma 120.00
_symmetry_space_group_name_H-M 'R -3 m'
_symmetry_Int_Tables_number 166
_symmetry_space_group_name_Hall '-R 3 2"'
loop_
_atom_site_label
_atom_site_type_symbol
_atom_site_fract_x
_atom_site_fract_y
_atom_site_fract_z
Er1 Er 0.0000 0.0000 0.1265
Al1 Al 0.0000 0.5000 0.0000
Ir1 Ir 0.0000 0.0000 0.5000
```